Record 1
K2BaDyF8: computed powder XRD pattern (Cu Kα X-rays), based on a DFT-relaxed cell (PBE, Alexandria).
Intensities are scaled so that the largest is 100.

Largest 6 diffraction maxima, low angle first, 10° ≤ 2θ ≤ 90°:
2θ 16.4, 5.414 Å, intensity 57
2θ 25.6, 3.481 Å, intensity 100
2θ 42.0, 2.153 Å, intensity 23
2θ 42.6, 2.121 Å, intensity 46
2θ 49.8, 1.831 Å, intensity 31
2θ 50.9, 1.792 Å, intensity 14

Structural model:
```
K2BaDyF8
1.0
-3.0444 3.0444 5.9143
3.0444 -3.0444 5.9143
3.0444 3.0444 -5.9143
K Ba Dy F
2 1 1 8
direct
0.0000 0.0000 0.0000
0.7500 0.2500 0.5000
0.5000 0.5000 0.0000
0.2500 0.7500 0.5000
0.1470 0.0848 0.5060
0.1470 0.6410 0.0622
0.3590 0.4211 0.5060
0.3590 0.8530 0.9378
0.5789 0.0848 0.9378
0.5789 0.6410 0.4940
0.9152 0.4211 0.0622
0.9152 0.8530 0.4940
```

Record 2
Rb2BaDyF6: computed powder XRD pattern (Cu Kα X-rays), based on a DFT-relaxed cell (PBE, Alexandria).
Intensities are scaled so that the largest is 100.

Largest 6 diffraction maxima, low angle first, 10° ≤ 2θ ≤ 90°:
2θ 18.3, 4.841 Å, intensity 37
2θ 24.6, 3.622 Å, intensity 100
2θ 27.4, 3.254 Å, intensity 90
2θ 37.1, 2.420 Å, intensity 62
2θ 39.8, 2.263 Å, intensity 25
2θ 46.8, 1.942 Å, intensity 36

Structural model:
```
Rb2BaDyF6
1.0
3.2536 1.8785 6.3027
-3.2536 1.8785 6.3027
0.0000 -3.7569 6.3027
Rb Ba Dy F
2 1 1 6
direct
0.2224 0.2224 0.2224
0.7776 0.7776 0.7776
0.0000 0.0000 0.0000
0.5000 0.5000 0.5000
0.2285 0.7198 0.7371
0.2629 0.7715 0.2802
0.2802 0.2629 0.7715
0.7199 0.7371 0.2285
0.7371 0.2285 0.7199
0.7715 0.2802 0.2629
```

Q: What is the formula in the second record?
A: Rb2BaDyF6

Repeat the second record exactly.
Rb2BaDyF6: computed powder XRD pattern (Cu Kα X-rays), based on a DFT-relaxed cell (PBE, Alexandria).
Intensities are scaled so that the largest is 100.

Largest 6 diffraction maxima, low angle first, 10° ≤ 2θ ≤ 90°:
2θ 18.3, 4.841 Å, intensity 37
2θ 24.6, 3.622 Å, intensity 100
2θ 27.4, 3.254 Å, intensity 90
2θ 37.1, 2.420 Å, intensity 62
2θ 39.8, 2.263 Å, intensity 25
2θ 46.8, 1.942 Å, intensity 36

Structural model:
```
Rb2BaDyF6
1.0
3.2536 1.8785 6.3027
-3.2536 1.8785 6.3027
0.0000 -3.7569 6.3027
Rb Ba Dy F
2 1 1 6
direct
0.2224 0.2224 0.2224
0.7776 0.7776 0.7776
0.0000 0.0000 0.0000
0.5000 0.5000 0.5000
0.2285 0.7198 0.7371
0.2629 0.7715 0.2802
0.2802 0.2629 0.7715
0.7199 0.7371 0.2285
0.7371 0.2285 0.7199
0.7715 0.2802 0.2629
```